Simulated powder X-ray diffraction pattern of BaMg6Bi4 for Cu Kα (weighted mean of Kα1 and Kα2), from the GGA-PBE geometry in Alexandria.
Lines closer than 0.1° are merged.

The 8 most intense peaks (2θ = 10–80°), in order of falling intensity:
2θ/deg	intensity
23.74	100.0
20.65	64.2
35.62	64.1
26.56	61.4
37.91	47.5
37.54	44.6
45.22	37.3
54.41	31.1

Structural model:
Cell lengths 15.6298, 15.6298, 15.6298 Å; angles 162.53, 162.53, 24.80 degrees
Fractional coordinates of all 11 atoms:
Ba 0.0000 0.0000 0.0000
Mg 0.1197 0.6197 0.5000
Mg 0.2500 0.7500 0.5000
Mg 0.3803 0.8803 0.5000
Mg 0.6197 0.1197 0.5000
Mg 0.7500 0.2500 0.5000
Mg 0.8803 0.3803 0.5000
Bi 0.1850 0.1850 0.0000
Bi 0.4398 0.4398 0.0000
Bi 0.5602 0.5602 0.0000
Bi 0.8150 0.8150 0.0000